No. 1
For Sr2BeBi2, a PBE-relaxed structure gives the simulated powder diffraction line list in this record (Cu Kα).
Peak positions follow from Bragg's law for the DFT cell and can differ from measured ones.

```
data_Sr2BeBi2
_chemical_formula_sum 'Sr4 Be2 Bi4'
_space_group_name_H-M_alt 'P 4/m b m'
_space_group_IT_number 127
_space_group_name_Hall '-P 4 2ab'
_cell_length_a 7.8657
_cell_length_b 7.8657
_cell_length_c 5.0977
_cell_angle_alpha 90.00
_cell_angle_beta 90.00
_cell_angle_gamma 90.00
loop_
_atom_site_label
_atom_site_type_symbol
_atom_site_fract_x
_atom_site_fract_y
_atom_site_fract_z
_atom_site_occupancy
Sr1 Sr 0.1685 0.3315 0.0000 1
Be1 Be 0.0000 0.0000 0.5000 1
Bi1 Bi 0.1471 0.6471 0.5000 1
```

Top 10 peaks for 2θ = 10–90°, by angle:
d [Å]	Rel. int.
5.562	202
5.098	139
3.518	136
2.895	1000
2.549	157
2.487	174
1.787	118
1.780	129
1.530	151
1.404	169

=====

No. 2
For Sm2MgZn10, a PBE-relaxed structure gives the simulated powder diffraction line list in this record (Cu Kα).
Peak positions follow from Bragg's law for the DFT cell and can differ from measured ones.

```
data_Sm2MgZn10
_chemical_formula_sum 'Sm4 Mg2 Zn20'
_space_group_name_H-M_alt 'P 1 21/c 1'
_space_group_IT_number 14
_space_group_name_Hall '-P 2ybc'
_cell_length_a 5.6571
_cell_length_b 5.5636
_cell_length_c 15.7726
_cell_angle_alpha 90.00
_cell_angle_beta 102.68
_cell_angle_gamma 90.00
loop_
_atom_site_label
_atom_site_type_symbol
_atom_site_fract_x
_atom_site_fract_y
_atom_site_fract_z
_atom_site_occupancy
Sm1 Sm 0.2481 0.1391 0.3690 1
Mg1 Mg 0.0000 0.0000 0.0000 1
Zn1 Zn 0.0885 0.6366 0.3115 1
Zn2 Zn 0.2107 0.5301 0.0485 1
Zn3 Zn 0.2808 0.6323 0.6766 1
Zn4 Zn 0.3338 0.1227 0.7039 1
Zn5 Zn 0.4803 0.6592 0.4392 1
```

Top 10 peaks for 2θ = 10–90°, by angle:
d [Å]	Rel. int.
2.760	170
2.551	632
2.520	538
2.491	331
2.445	250
2.369	188
2.328	1000
2.255	347
2.229	332
2.153	201